# 1
Theoretical X-ray powder pattern of CsTl7 for a wavelength of 1.5418 Å, from DFT lattice parameters and positions (GGA-PBE).

Structure:
abc: 14.0069 10.4233 3.9685
angles: 90.00 105.90 90.00
Space group C2/m (No. 12)
Asymmetric unit:
Cs1 0.0000 0.0000 0.0000
Tl1 0.0000 0.5000 0.0000
Tl2 0.1396 0.2896 0.6427
Tl3 0.2486 0.0000 0.7467

Largest 10 diffraction maxima, in order of rising 2θ, 10 to 90 degrees two-theta:
- 2θ = 10.7°, d 8.244, I = 22
- 2θ = 29.0°, d 3.079, I = 38
- 2θ = 29.1°, d 3.069, I = 40
- 2θ = 29.9°, d 2.988, I = 33
- 2θ = 30.2°, d 2.959, I = 31
- 2θ = 31.6°, d 2.829, I = 100
- 2θ = 34.3°, d 2.614, I = 43
- 2θ = 34.4°, d 2.606, I = 28
- 2θ = 45.7°, d 1.984, I = 22
- 2θ = 56.9°, d 1.618, I = 20


# 2
Theoretical X-ray powder pattern of TcH4NO4 for a wavelength of 1.5418 Å, from DFT lattice parameters and positions (GGA-PBE).

Structure:
abc: 6.3431 6.3431 12.0772
angles: 90.00 90.00 90.00
Space group I4_1/a (No. 88, origin choice 2)
Asymmetric unit:
Tc1 0.0000 0.2500 0.1250
H1 0.0368 0.1227 0.6757
N1 0.0000 0.2500 0.6250
O1 0.1044 0.4489 0.2080

Largest 10 diffraction maxima, in order of rising 2θ, 10 to 90 degrees two-theta:
- 2θ = 15.8°, d 5.616, I = 98
- 2θ = 24.7°, d 3.601, I = 100
- 2θ = 26.2°, d 3.399, I = 25
- 2θ = 28.1°, d 3.172, I = 21
- 2θ = 32.4°, d 2.762, I = 24
- 2θ = 41.3°, d 2.187, I = 23
- 2θ = 47.8°, d 1.904, I = 21
- 2θ = 49.6°, d 1.838, I = 19
- 2θ = 50.7°, d 1.800, I = 11
- 2θ = 65.7°, d 1.421, I = 16